Structure and simulated XRD peak list of EuTa2O6 (a GGA-PBE-relaxed structure; CuKα).
Kinematic intensities with the Lorentz-polarization factor, no thermal factor.

Top 10 peaks for 10° ≤ 2θ ≤ 90°, in order of rising 2θ:
(hkl)  2θ/deg  intensity
0 0 1  11.04  26
1 0 0  22.41  31
1 0 1  25.05  25
1 0 2  31.74  100
1 1 0  31.90  50
2 0 0  45.74  30
1 1 4  56.43  20
2 1 2  56.74  40
2 0 4  66.30  18
3 1 0  75.79  18

Structural model:
```
data_EuTa2O6
_space_group_name_H-M_alt 'P 4/m m m'
_space_group_IT_number 123
_space_group_name_Hall '-P 4 2'
_cell_length_a 3.967
_cell_length_b 3.967
_cell_length_c 8.017
_cell_angle_alpha 90.00
_cell_angle_beta 90.00
_cell_angle_gamma 90.00
loop_
_atom_site_label
_atom_site_type_symbol
_atom_site_fract_x
_atom_site_fract_y
_atom_site_fract_z
Eu1 Eu 0.000 0.000 0.000
Ta1 Ta 0.500 0.500 0.260
O1 O 0.000 0.500 0.230
O2 O 0.500 0.500 0.000
O3 O 0.500 0.500 0.500
```